(1)
Starting from a GGA-PBE-relaxed structure, the X-ray powder pattern of Rb2INF6 was computed for Cu Kα (weighted mean of Kα1 and Kα2).
Peak positions follow from Bragg's law for the DFT cell and can differ from measured ones.

```
data_Rb2INF6
_symmetry_space_group_name_H-M 'I 4/m m m'
_symmetry_Int_Tables_number 139
_symmetry_space_group_name_Hall '-I 4 2'
_cell_length_a 6.3961
_cell_length_b 6.3961
_cell_length_c 9.4681
_cell_angle_alpha 90.00
_cell_angle_beta 90.00
_cell_angle_gamma 90.00
loop_
_atom_site_label
_atom_site_fract_x
_atom_site_fract_y
_atom_site_fract_z
Rb1 0.0000 0.5000 0.2500
I1 0.0000 0.0000 0.0000
N1 0.0000 0.0000 0.5000
F1 0.0000 0.0000 0.2177
F2 0.1975 0.1975 0.5000
```

Top 10 peaks for 2θ from 15° to 90°, in order of falling intensity:
d_spacing  2θ (°)  I (rel.)  index
3.270  27.27  100  1 1 2
3.198  27.90  49  2 0 0
2.261  39.86  35  2 2 0
5.300  16.73  33  1 0 1
1.860  48.97  32  3 1 2
2.738  32.70  30  2 1 1
1.635  56.26  22  2 2 4
2.367  38.01  22  0 0 4
1.903  47.81  20  2 0 4
2.650  33.82  13  2 0 2

***

(2)
Starting from a GGA-PBE-relaxed structure, the X-ray powder pattern of NpI4F was computed for Cu Kα (weighted mean of Kα1 and Kα2).
Peak positions follow from Bragg's law for the DFT cell and can differ from measured ones.

```
data_NpI4F
_symmetry_space_group_name_H-M 'I 4/m'
_symmetry_Int_Tables_number 87
_symmetry_space_group_name_Hall '-I 4'
_cell_length_a 10.9701
_cell_length_b 10.9701
_cell_length_c 4.4980
_cell_angle_alpha 90.00
_cell_angle_beta 90.00
_cell_angle_gamma 90.00
loop_
_atom_site_label
_atom_site_fract_x
_atom_site_fract_y
_atom_site_fract_z
Np1 0.0000 0.0000 0.0000
I1 0.0684 0.2543 0.0000
F1 0.0000 0.0000 0.5000
```

Top 10 peaks for 2θ from 15° to 90°, in order of falling intensity:
d_spacing  2θ (°)  I (rel.)  index
4.162  21.35  100  1 0 1
3.469  25.68  66  1 3 0
2.290  39.35  56  1 4 1
2.453  36.63  28  4 2 0
3.315  26.89  24  2 1 1
1.887  48.22  24  1 3 2
1.972  46.03  22  4 3 1
2.743  32.65  20  4 0 0
2.837  31.53  18  3 0 1
1.856  49.09  18  5 2 1

***

(3)
Starting from a GGA-PBE-relaxed structure, the X-ray powder pattern of I2O2F was computed for Cu Kα (weighted mean of Kα1 and Kα2).
Peak positions follow from Bragg's law for the DFT cell and can differ from measured ones.

```
data_I2O2F
_symmetry_space_group_name_H-M 'P 4/m m m'
_symmetry_Int_Tables_number 123
_symmetry_space_group_name_Hall '-P 4 2'
_cell_length_a 3.9900
_cell_length_b 3.9900
_cell_length_c 6.3933
_cell_angle_alpha 90.00
_cell_angle_beta 90.00
_cell_angle_gamma 90.00
loop_
_atom_site_label
_atom_site_fract_x
_atom_site_fract_y
_atom_site_fract_z
I1 0.0000 0.0000 0.0000
I2 0.0000 0.0000 0.5000
O1 0.0000 0.5000 0.0000
F1 0.5000 0.5000 0.5000
```

Top 10 peaks for 2θ from 15° to 90°, in order of falling intensity:
d_spacing  2θ (°)  I (rel.)  index
3.990  22.28  100  1 0 0
2.495  36.00  58  1 0 2
3.197  27.91  51  0 0 2
2.821  31.72  43  1 1 0
2.115  42.75  38  1 1 2
1.692  54.20  29  2 0 2
1.558  59.31  27  2 1 2
1.995  45.47  25  2 0 0
1.784  51.19  21  2 1 0
1.174  82.12  12  3 1 2

***

(4)
Starting from a GGA-PBE-relaxed structure, the X-ray powder pattern of IOF3 was computed for Cu Kα (weighted mean of Kα1 and Kα2).
Peak positions follow from Bragg's law for the DFT cell and can differ from measured ones.

```
data_IOF3
_symmetry_space_group_name_H-M 'P 21 21 21'
_symmetry_Int_Tables_number 19
_symmetry_space_group_name_Hall 'P 2ac 2ab'
_cell_length_a 5.5514
_cell_length_b 5.8731
_cell_length_c 10.8858
_cell_angle_alpha 90.00
_cell_angle_beta 90.00
_cell_angle_gamma 90.00
loop_
_atom_site_label
_atom_site_fract_x
_atom_site_fract_y
_atom_site_fract_z
I1 0.1533 0.0956 0.0983
O1 0.2009 0.6715 0.5231
F1 0.0497 0.3064 0.2314
F2 0.0855 0.9776 0.7031
F3 0.2090 0.1233 0.4839
```

Top 10 peaks for 2θ from 15° to 90°, in order of falling intensity:
d_spacing  2θ (°)  I (rel.)  index
3.992  22.27  100  0 1 2
3.886  22.88  100  1 0 2
4.034  22.03  98  1 1 0
5.169  17.16  69  0 1 1
3.783  23.52  62  1 1 1
2.064  43.86  38  2 1 3
2.282  39.48  34  0 2 3
4.945  17.94  31  1 0 1
3.241  27.52  26  1 1 2
2.698  33.21  24  1 1 3

***

(5)
Starting from a GGA-PBE-relaxed structure, the X-ray powder pattern of PaIO6F2 was computed for Cu Kα (weighted mean of Kα1 and Kα2).
Peak positions follow from Bragg's law for the DFT cell and can differ from measured ones.

```
data_PaIO6F2
_symmetry_space_group_name_H-M 'I m m m'
_symmetry_Int_Tables_number 71
_symmetry_space_group_name_Hall '-I 2 2'
_cell_length_a 5.7125
_cell_length_b 5.7235
_cell_length_c 8.0842
_cell_angle_alpha 90.00
_cell_angle_beta 90.00
_cell_angle_gamma 90.00
loop_
_atom_site_label
_atom_site_fract_x
_atom_site_fract_y
_atom_site_fract_z
Pa1 0.0000 0.0000 0.0000
I1 0.0000 0.0000 0.5000
O1 0.0000 0.0000 0.2668
O2 0.2333 0.2330 0.5000
F1 0.0000 0.5000 0.2507
```

Top 10 peaks for 2θ from 15° to 90°, in order of falling intensity:
d_spacing  2θ (°)  I (rel.)  index
4.043  21.99  100  1 1 0
2.859  31.29  89  2 0 0
1.808  50.48  43  3 1 0
1.650  55.69  35  3 1 2
2.021  44.84  30  2 2 0
1.278  74.17  16  4 2 0
1.430  65.26  15  2 2 4
1.348  69.76  13  3 3 0
2.334  38.57  12  2 0 2
4.668  19.01  11  0 1 1

***

(6)
Starting from a GGA-PBE-relaxed structure, the X-ray powder pattern of PbIO4F was computed for Cu Kα (weighted mean of Kα1 and Kα2).
Peak positions follow from Bragg's law for the DFT cell and can differ from measured ones.

```
data_PbIO4F
_symmetry_space_group_name_H-M 'C 1 2/m 1'
_symmetry_Int_Tables_number 12
_symmetry_space_group_name_Hall '-C 2y'
_cell_length_a 10.1864
_cell_length_b 7.9624
_cell_length_c 7.7027
_cell_angle_alpha 90.00
_cell_angle_beta 107.42
_cell_angle_gamma 90.00
loop_
_atom_site_label
_atom_site_fract_x
_atom_site_fract_y
_atom_site_fract_z
Pb1 0.1878 0.0000 0.1284
I1 0.1558 0.5000 0.2794
O1 0.0215 0.5000 0.7277
O2 0.1911 0.3216 0.1546
O3 0.2307 0.0000 0.4920
F1 0.0282 0.0000 0.8400
```

Top 10 peaks for 2θ from 15° to 90°, in order of falling intensity:
d_spacing  2θ (°)  I (rel.)  index
3.981  22.33  100  0 2 0
3.458  25.77  84  1 1 -2
3.589  24.81  55  2 0 1
4.860  18.26  48  2 0 0
2.142  42.18  46  1 1 3
2.666  33.62  35  2 2 1
3.095  28.85  34  3 1 -1
2.183  41.36  30  1 3 -2
4.762  18.63  26  2 0 -1
5.235  16.94  24  1 1 -1

***

(7)
Starting from a GGA-PBE-relaxed structure, the X-ray powder pattern of Rb5IO4F2 was computed for Cu Kα (weighted mean of Kα1 and Kα2).
Peak positions follow from Bragg's law for the DFT cell and can differ from measured ones.

```
data_Rb5IO4F2
_symmetry_space_group_name_H-M 'A m m 2'
_symmetry_Int_Tables_number 38
_symmetry_space_group_name_Hall 'A 2 -2'
_cell_length_a 7.5392
_cell_length_b 12.4386
_cell_length_c 7.0068
_cell_angle_alpha 90.00
_cell_angle_beta 90.00
_cell_angle_gamma 90.00
loop_
_atom_site_label
_atom_site_fract_x
_atom_site_fract_y
_atom_site_fract_z
Rb1 0.0000 0.0000 0.0000
Rb2 0.2525 0.1977 0.4685
I1 0.5000 0.0000 0.1284
O1 0.2961 0.0000 0.2823
O2 0.5000 0.1587 0.1324
F1 0.0000 0.1806 0.7716
```

Top 10 peaks for 2θ from 15° to 90°, in order of falling intensity:
d_spacing  2θ (°)  I (rel.)  index
3.568  24.95  100  0 3 1
3.207  27.81  78  2 1 1
3.224  27.67  74  2 2 0
1.991  45.57  58  2 5 1
2.372  37.93  53  2 2 2
4.744  18.70  39  1 1 1
2.566  34.96  34  2 0 2
3.503  25.42  28  0 0 2
3.052  29.26  27  0 2 2
1.667  55.11  22  4 3 1

***

(8)
Starting from a GGA-PBE-relaxed structure, the X-ray powder pattern of Rb7IO2F2 was computed for Cu Kα (weighted mean of Kα1 and Kα2).
Peak positions follow from Bragg's law for the DFT cell and can differ from measured ones.

```
data_Rb7IO2F2
_symmetry_space_group_name_H-M 'I 4/m m m'
_symmetry_Int_Tables_number 139
_symmetry_space_group_name_Hall '-I 4 2'
_cell_length_a 5.7225
_cell_length_b 5.7225
_cell_length_c 23.0403
_cell_angle_alpha 90.00
_cell_angle_beta 90.00
_cell_angle_gamma 90.00
loop_
_atom_site_label
_atom_site_fract_x
_atom_site_fract_y
_atom_site_fract_z
Rb1 0.0000 0.0000 0.0000
Rb2 0.0000 0.0000 0.2359
Rb3 0.0000 0.5000 0.1243
I1 0.0000 0.0000 0.5000
O1 0.0000 0.0000 0.1203
F1 0.0000 0.5000 0.2500
```

Top 10 peaks for 2θ from 15° to 90°, in order of falling intensity:
d_spacing  2θ (°)  I (rel.)  index
3.311  26.93  100  1 1 4
2.861  31.27  55  2 0 0
2.030  44.64  34  2 0 8
1.726  53.04  31  3 1 4
2.880  31.05  24  0 0 8
2.023  44.80  21  2 2 0
1.656  55.51  17  2 2 8
1.735  52.77  12  1 1 12
1.169  82.49  11  4 2 8
1.317  71.66  11  3 1 12

***

(9)
Starting from a GGA-PBE-relaxed structure, the X-ray powder pattern of ScIO2F was computed for Cu Kα (weighted mean of Kα1 and Kα2).
Peak positions follow from Bragg's law for the DFT cell and can differ from measured ones.

```
data_ScIO2F
_symmetry_space_group_name_H-M 'P 4/m m m'
_symmetry_Int_Tables_number 123
_symmetry_space_group_name_Hall '-P 4 2'
_cell_length_a 4.1974
_cell_length_b 4.1974
_cell_length_c 3.9797
_cell_angle_alpha 90.00
_cell_angle_beta 90.00
_cell_angle_gamma 90.00
loop_
_atom_site_label
_atom_site_fract_x
_atom_site_fract_y
_atom_site_fract_z
Sc1 0.0000 0.0000 0.0000
I1 0.5000 0.5000 0.5000
O1 0.0000 0.5000 0.0000
F1 0.0000 0.0000 0.5000
```

Top 10 peaks for 2θ from 15° to 90°, in order of falling intensity:
d_spacing  2θ (°)  I (rel.)  index
2.888  30.96  100  1 0 1
2.968  30.11  58  1 1 0
2.379  37.81  45  1 1 1
2.099  43.10  42  2 0 0
1.698  54.01  41  2 1 1
1.444  64.54  23  2 0 2
1.653  55.61  20  1 1 2
4.197  21.17  20  1 0 0
1.990  45.59  18  0 0 2
1.484  62.60  13  2 2 0

***

(10)
Starting from a GGA-PBE-relaxed structure, the X-ray powder pattern of OsIF2 was computed for Cu Kα (weighted mean of Kα1 and Kα2).
Peak positions follow from Bragg's law for the DFT cell and can differ from measured ones.

```
data_OsIF2
_symmetry_space_group_name_H-M 'R -3 m'
_symmetry_Int_Tables_number 166
_symmetry_space_group_name_Hall '-R 3 2"'
_cell_length_a 2.9521
_cell_length_b 2.9521
_cell_length_c 30.7763
_cell_angle_alpha 90.00
_cell_angle_beta 90.00
_cell_angle_gamma 120.00
loop_
_atom_site_label
_atom_site_fract_x
_atom_site_fract_y
_atom_site_fract_z
Os1 0.0000 0.0000 0.0000
I1 0.0000 0.0000 0.5000
F1 0.0000 0.0000 0.0613
```

Top 10 peaks for 2θ from 15° to 90°, in order of falling intensity:
d_spacing  2θ (°)  I (rel.)  index
5.129  17.29  100  0 0 6
2.522  35.60  72  0 1 2
2.426  37.05  55  1 0 4
2.129  42.45  29  0 1 8
1.967  46.16  24  1 0 10
2.565  34.99  21  0 0 12
1.667  55.10  20  0 1 14
1.418  65.84  18  1 1 6
1.537  60.21  16  1 0 16
1.476  62.97  15  1 1 0

***

(11)
Starting from a GGA-PBE-relaxed structure, the X-ray powder pattern of Os2I2F was computed for Cu Kα (weighted mean of Kα1 and Kα2).
Peak positions follow from Bragg's law for the DFT cell and can differ from measured ones.

```
data_Os2I2F
_symmetry_space_group_name_H-M 'I 4/m m m'
_symmetry_Int_Tables_number 139
_symmetry_space_group_name_Hall '-I 4 2'
_cell_length_a 5.3996
_cell_length_b 5.3996
_cell_length_c 7.1349
_cell_angle_alpha 90.00
_cell_angle_beta 90.00
_cell_angle_gamma 90.00
loop_
_atom_site_label
_atom_site_fract_x
_atom_site_fract_y
_atom_site_fract_z
Os1 0.0000 0.0000 0.1654
I1 0.0000 0.5000 0.2500
F1 0.0000 0.0000 0.5000
```

Top 10 peaks for 2θ from 15° to 90°, in order of falling intensity:
d_spacing  2θ (°)  I (rel.)  index
2.700  33.18  100  2 0 0
4.306  20.63  44  1 0 1
2.153  41.97  43  2 0 2
3.567  24.96  43  0 0 2
2.177  41.49  40  1 0 3
1.694  54.13  37  2 1 3
1.909  47.63  36  2 2 0
1.683  54.52  20  2 2 2
1.616  56.98  19  1 1 4
2.287  39.39  18  2 1 1

***

(12)
Starting from a GGA-PBE-relaxed structure, the X-ray powder pattern of PaI4F was computed for Cu Kα (weighted mean of Kα1 and Kα2).
Peak positions follow from Bragg's law for the DFT cell and can differ from measured ones.

```
data_PaI4F
_symmetry_space_group_name_H-M 'I 4/m'
_symmetry_Int_Tables_number 87
_symmetry_space_group_name_Hall '-I 4'
_cell_length_a 11.2606
_cell_length_b 11.2606
_cell_length_c 4.5610
_cell_angle_alpha 90.00
_cell_angle_beta 90.00
_cell_angle_gamma 90.00
loop_
_atom_site_label
_atom_site_fract_x
_atom_site_fract_y
_atom_site_fract_z
Pa1 0.0000 0.0000 0.0000
I1 0.0672 0.7511 0.0000
F1 0.0000 0.0000 0.5000
```

Top 10 peaks for 2θ from 15° to 90°, in order of falling intensity:
d_spacing  2θ (°)  I (rel.)  index
4.227  21.01  100  1 0 1
3.561  25.01  61  3 1 0
2.343  38.42  57  4 1 1
2.518  35.66  27  4 2 0
3.381  26.36  22  1 2 1
1.920  47.34  22  3 1 2
2.019  44.89  21  3 4 1
2.815  31.79  21  4 0 0
1.901  47.85  18  2 5 1
1.931  47.06  17  3 5 0